# Tl8Hg6Bi
Computed powder X-ray diffraction pattern, Cu Kα X-rays. Input: a crystal structure in Alexandria, relaxed with GGA-PBE.
No peak broadening, texture or thermal motion is included.

Principal peaks in the range 10 to 80 degrees two-theta, low angle first:
2θ = 29.43°, d = 3.035 Å, I = 30; 2θ = 30.36°, d = 2.944 Å, I = 100; 2θ = 32.58°, d = 2.749 Å, I = 30; 2θ = 35.06°, d = 2.559 Å, I = 66; 2θ = 35.46°, d = 2.531 Å, I = 44; 2θ = 50.73°, d = 1.800 Å, I = 18

Structure:
```
data_Tl8Hg6Bi
_symmetry_space_group_name_H-M 'P 1'
_symmetry_Int_Tables_number 1
_cell_length_a 8.1213
_cell_length_b 8.1213
_cell_length_c 8.1213
_cell_angle_alpha 71.78
_cell_angle_beta 71.78
_cell_angle_gamma 71.78
loop_
_symmetry_equiv_pos_as_xyz
'x,y,z'
loop_
_atom_site_label
_atom_site_fract_x
_atom_site_fract_y
_atom_site_fract_z
Tl1 0.1171 0.3971 0.6586
Tl2 0.2500 0.2500 0.2500
Tl3 0.3414 0.8829 0.6029
Tl4 0.3971 0.6586 0.1171
Tl5 0.6029 0.3414 0.8829
Tl6 0.6586 0.1171 0.3971
Tl7 0.7500 0.7500 0.7500
Tl8 0.8829 0.6029 0.3414
Hg1 0.0873 0.8914 0.3451
Hg2 0.1086 0.6549 0.9127
Hg3 0.3451 0.0873 0.8914
Hg4 0.6549 0.9127 0.1086
Hg5 0.8914 0.3451 0.0873
Hg6 0.9127 0.1086 0.6549
Bi1 0.5000 0.5000 0.5000
```

=====

# Tm6HgBi2
Computed powder X-ray diffraction pattern, Cu Kα X-rays. Input: a crystal structure in Alexandria, relaxed with GGA-PBE.
No peak broadening, texture or thermal motion is included.

Principal peaks in the range 10 to 80 degrees two-theta, low angle first:
2θ = 30.17°, d = 2.962 Å, I = 68; 2θ = 32.63°, d = 2.744 Å, I = 100; 2θ = 37.12°, d = 2.422 Å, I = 42; 2θ = 39.24°, d = 2.296 Å, I = 36; 2θ = 58.28°, d = 1.583 Å, I = 23; 2θ = 59.71°, d = 1.549 Å, I = 30

Structure:
```
data_Tm6HgBi2
_symmetry_space_group_name_H-M 'P 1'
_symmetry_Int_Tables_number 1
_cell_length_a 8.3900
_cell_length_b 8.3900
_cell_length_c 4.1835
_cell_angle_alpha 90.00
_cell_angle_beta 90.00
_cell_angle_gamma 120.00
loop_
_symmetry_equiv_pos_as_xyz
'x,y,z'
loop_
_atom_site_label
_atom_site_fract_x
_atom_site_fract_y
_atom_site_fract_z
Tm1 0.0000 0.2539 0.0000
Tm2 0.0000 0.6030 0.5000
Tm3 0.2539 0.0000 0.0000
Tm4 0.3970 0.3970 0.5000
Tm5 0.6030 0.0000 0.5000
Tm6 0.7461 0.7461 0.0000
Hg1 0.0000 0.0000 0.5000
Bi1 0.3333 0.6667 0.0000
Bi2 0.6667 0.3333 0.0000
```

=====

# Tm4HgBi
Computed powder X-ray diffraction pattern, Cu Kα X-rays. Input: a crystal structure in Alexandria, relaxed with GGA-PBE.
No peak broadening, texture or thermal motion is included.

Principal peaks in the range 10 to 80 degrees two-theta, low angle first:
2θ = 29.17°, d = 3.062 Å, I = 69; 2θ = 32.36°, d = 2.767 Å, I = 81; 2θ = 32.86°, d = 2.725 Å, I = 100; 2θ = 33.61°, d = 2.666 Å, I = 63; 2θ = 34.69°, d = 2.586 Å, I = 78; 2θ = 36.12°, d = 2.487 Å, I = 87

Structure:
```
data_Tm4HgBi
_symmetry_space_group_name_H-M 'P 1'
_symmetry_Int_Tables_number 1
_cell_length_a 7.8109
_cell_length_b 7.8109
_cell_length_c 6.4473
_cell_angle_alpha 99.73
_cell_angle_beta 99.73
_cell_angle_gamma 113.37
loop_
_symmetry_equiv_pos_as_xyz
'x,y,z'
loop_
_atom_site_label
_atom_site_fract_x
_atom_site_fract_y
_atom_site_fract_z
Tm1 0.0958 0.7168 0.9471
Tm2 0.2000 0.3972 0.5970
Tm3 0.2832 0.9042 0.5529
Tm4 0.3972 0.2000 0.0970
Tm5 0.6028 0.8000 0.9030
Tm6 0.7168 0.0958 0.4471
Tm7 0.8000 0.6028 0.4030
Tm8 0.9042 0.2832 0.0529
Hg1 0.0056 0.9944 0.2500
Hg2 0.9944 0.0056 0.7500
Bi1 0.3897 0.6103 0.2500
Bi2 0.6103 0.3897 0.7500
```

=====

# Y2Hg3Bi3
Computed powder X-ray diffraction pattern, Cu Kα X-rays. Input: a crystal structure in Alexandria, relaxed with GGA-PBE.
No peak broadening, texture or thermal motion is included.

Principal peaks in the range 10 to 80 degrees two-theta, low angle first:
2θ = 32.48°, d = 2.757 Å, I = 100; 2θ = 35.37°, d = 2.537 Å, I = 20; 2θ = 38.40°, d = 2.344 Å, I = 16; 2θ = 39.16°, d = 2.300 Å, I = 16; 2θ = 61.68°, d = 1.504 Å, I = 16; 2θ = 66.78°, d = 1.401 Å, I = 13

Structure:
```
data_Y2Hg3Bi3
_symmetry_space_group_name_H-M 'P 1'
_symmetry_Int_Tables_number 1
_cell_length_a 4.6004
_cell_length_b 5.0749
_cell_length_c 9.3774
_cell_angle_alpha 90.00
_cell_angle_beta 90.00
_cell_angle_gamma 90.00
loop_
_symmetry_equiv_pos_as_xyz
'x,y,z'
loop_
_atom_site_label
_atom_site_fract_x
_atom_site_fract_y
_atom_site_fract_z
Y1 0.0000 0.0000 0.2421
Y2 0.0000 0.0000 0.7579
Hg1 0.0000 0.5000 0.0000
Hg2 0.5000 0.5000 0.2366
Hg3 0.5000 0.5000 0.7634
Bi1 0.0000 0.5000 0.5000
Bi2 0.5000 0.0000 0.0000
Bi3 0.5000 0.0000 0.5000
```

=====

# ZnHg2Bi
Computed powder X-ray diffraction pattern, Cu Kα X-rays. Input: a crystal structure in Alexandria, relaxed with GGA-PBE.
No peak broadening, texture or thermal motion is included.

Principal peaks in the range 10 to 80 degrees two-theta, low angle first:
2θ = 23.36°, d = 3.807 Å, I = 19; 2θ = 28.12°, d = 3.173 Å, I = 100; 2θ = 37.82°, d = 2.379 Å, I = 25; 2θ = 39.02°, d = 2.308 Å, I = 43; 2θ = 42.47°, d = 2.129 Å, I = 61; 2θ = 62.47°, d = 1.487 Å, I = 16

Structure:
```
data_ZnHg2Bi
_symmetry_space_group_name_H-M 'P 1'
_symmetry_Int_Tables_number 1
_cell_length_a 10.0925
_cell_length_b 10.0925
_cell_length_c 10.0925
_cell_angle_alpha 152.72
_cell_angle_beta 152.72
_cell_angle_gamma 38.96
loop_
_symmetry_equiv_pos_as_xyz
'x,y,z'
loop_
_atom_site_label
_atom_site_fract_x
_atom_site_fract_y
_atom_site_fract_z
Zn1 0.0000 0.0000 0.0000
Zn2 0.7500 0.2500 0.5000
Hg1 0.0682 0.6250 0.9432
Hg2 0.3750 0.3182 0.4432
Hg3 0.6818 0.1250 0.0568
Hg4 0.8750 0.9318 0.5568
Bi1 0.2500 0.7500 0.5000
Bi2 0.5000 0.5000 0.0000
```

=====

# Zr7Hg2Bi2
Computed powder X-ray diffraction pattern, Cu Kα X-rays. Input: a crystal structure in Alexandria, relaxed with GGA-PBE.
No peak broadening, texture or thermal motion is included.

Principal peaks in the range 10 to 80 degrees two-theta, low angle first:
2θ = 25.93°, d = 3.436 Å, I = 65; 2θ = 33.67°, d = 2.662 Å, I = 81; 2θ = 36.32°, d = 2.473 Å, I = 58; 2θ = 36.76°, d = 2.445 Å, I = 100; 2θ = 38.36°, d = 2.347 Å, I = 78; 2θ = 39.63°, d = 2.274 Å, I = 60

Structure:
```
data_Zr7Hg2Bi2
_symmetry_space_group_name_H-M 'P 1'
_symmetry_Int_Tables_number 1
_cell_length_a 7.1762
_cell_length_b 7.1762
_cell_length_c 5.6729
_cell_angle_alpha 104.44
_cell_angle_beta 104.44
_cell_angle_gamma 77.00
loop_
_symmetry_equiv_pos_as_xyz
'x,y,z'
loop_
_atom_site_label
_atom_site_fract_x
_atom_site_fract_y
_atom_site_fract_z
Zr1 0.0000 0.0000 0.0000
Zr2 0.0477 0.3894 0.2758
Zr3 0.3894 0.0477 0.2758
Zr4 0.4924 0.4924 0.7377
Zr5 0.5076 0.5076 0.2623
Zr6 0.6106 0.9523 0.7242
Zr7 0.9523 0.6106 0.7242
Hg1 0.2008 0.7992 0.5000
Hg2 0.7992 0.2008 0.5000
Bi1 0.2426 0.2426 0.8189
Bi2 0.7574 0.7574 0.1811
```

=====

# HoBi3
Computed powder X-ray diffraction pattern, Cu Kα X-rays. Input: a crystal structure in Alexandria, relaxed with GGA-PBE.
No peak broadening, texture or thermal motion is included.

Principal peaks in the range 10 to 80 degrees two-theta, low angle first:
2θ = 29.98°, d = 2.980 Å, I = 22; 2θ = 30.26°, d = 2.954 Å, I = 30; 2θ = 33.69°, d = 2.661 Å, I = 100; 2θ = 53.24°, d = 1.721 Å, I = 18; 2θ = 55.97°, d = 1.643 Å, I = 24; 2θ = 62.47°, d = 1.487 Å, I = 23

Structure:
```
data_HoBi3
_symmetry_space_group_name_H-M 'P 1'
_symmetry_Int_Tables_number 1
_cell_length_a 6.8822
_cell_length_b 6.8822
_cell_length_c 5.9074
_cell_angle_alpha 90.00
_cell_angle_beta 90.00
_cell_angle_gamma 120.00
loop_
_symmetry_equiv_pos_as_xyz
'x,y,z'
loop_
_atom_site_label
_atom_site_fract_x
_atom_site_fract_y
_atom_site_fract_z
Ho1 0.3333 0.6667 0.2500
Ho2 0.6667 0.3333 0.7500
Bi1 0.1741 0.3483 0.7500
Bi2 0.1741 0.8259 0.7500
Bi3 0.3483 0.1741 0.2500
Bi4 0.6517 0.8259 0.7500
Bi5 0.8259 0.1741 0.2500
Bi6 0.8259 0.6517 0.2500
```

=====

# Ho4Bi3
Computed powder X-ray diffraction pattern, Cu Kα X-rays. Input: a crystal structure in Alexandria, relaxed with GGA-PBE.
No peak broadening, texture or thermal motion is included.

Principal peaks in the range 10 to 80 degrees two-theta, low angle first:
2θ = 30.24°, d = 2.956 Å, I = 100; 2θ = 35.95°, d = 2.498 Å, I = 68; 2θ = 43.29°, d = 2.090 Å, I = 18; 2θ = 49.74°, d = 1.833 Å, I = 19; 2θ = 61.12°, d = 1.516 Å, I = 30; 2θ = 74.62°, d = 1.272 Å, I = 19

Structure:
```
data_Ho4Bi3
_symmetry_space_group_name_H-M 'P 1'
_symmetry_Int_Tables_number 1
_cell_length_a 8.0944
_cell_length_b 8.0944
_cell_length_c 8.0944
_cell_angle_alpha 109.47
_cell_angle_beta 109.47
_cell_angle_gamma 109.47
loop_
_symmetry_equiv_pos_as_xyz
'x,y,z'
loop_
_atom_site_label
_atom_site_fract_x
_atom_site_fract_y
_atom_site_fract_z
Ho1 0.0000 0.3525 0.5000
Ho2 0.0000 0.8525 0.5000
Ho3 0.1475 0.1475 0.1475
Ho4 0.3525 0.5000 0.0000
Ho5 0.5000 0.0000 0.3525
Ho6 0.5000 0.0000 0.8525
Ho7 0.6475 0.6475 0.6475
Ho8 0.8525 0.5000 0.0000
Bi1 0.1250 0.7500 0.8750
Bi2 0.2500 0.6250 0.3750
Bi3 0.3750 0.2500 0.6250
Bi4 0.6250 0.3750 0.2500
Bi5 0.7500 0.8750 0.1250
Bi6 0.8750 0.1250 0.7500
```

=====

# Ho7Bi5
Computed powder X-ray diffraction pattern, Cu Kα X-rays. Input: a crystal structure in Alexandria, relaxed with GGA-PBE.
No peak broadening, texture or thermal motion is included.

Principal peaks in the range 10 to 80 degrees two-theta, low angle first:
2θ = 23.58°, d = 3.773 Å, I = 31; 2θ = 28.35°, d = 3.148 Å, I = 83; 2θ = 30.48°, d = 2.933 Å, I = 44; 2θ = 31.34°, d = 2.854 Å, I = 100; 2θ = 40.26°, d = 2.240 Å, I = 29; 2θ = 40.85°, d = 2.209 Å, I = 39

Structure:
```
data_Ho7Bi5
_symmetry_space_group_name_H-M 'P 1'
_symmetry_Int_Tables_number 1
_cell_length_a 7.6139
_cell_length_b 7.6139
_cell_length_c 12.6715
_cell_angle_alpha 111.26
_cell_angle_beta 111.26
_cell_angle_gamma 33.73
loop_
_symmetry_equiv_pos_as_xyz
'x,y,z'
loop_
_atom_site_label
_atom_site_fract_x
_atom_site_fract_y
_atom_site_fract_z
Ho1 0.0000 0.0000 0.0000
Ho2 0.1632 0.1632 0.5296
Ho3 0.2062 0.2062 0.8317
Ho4 0.4500 0.4500 0.7130
Ho5 0.5500 0.5500 0.2870
Ho6 0.7938 0.7938 0.1683
Ho7 0.8368 0.8368 0.4704
Bi1 0.1976 0.1976 0.2814
Bi2 0.3793 0.3793 0.0606
Bi3 0.5000 0.5000 0.5000
Bi4 0.6207 0.6207 0.9394
Bi5 0.8024 0.8024 0.7186
```

=====

# Ho3Bi
Computed powder X-ray diffraction pattern, Cu Kα X-rays. Input: a crystal structure in Alexandria, relaxed with GGA-PBE.
No peak broadening, texture or thermal motion is included.

Principal peaks in the range 10 to 80 degrees two-theta, low angle first:
2θ = 29.84°, d = 2.994 Å, I = 16; 2θ = 33.07°, d = 2.709 Å, I = 100; 2θ = 33.68°, d = 2.661 Å, I = 29; 2θ = 34.37°, d = 2.610 Å, I = 32; 2θ = 59.84°, d = 1.546 Å, I = 19; 2θ = 63.45°, d = 1.466 Å, I = 17

Structure:
```
data_Ho3Bi
_symmetry_space_group_name_H-M 'P 1'
_symmetry_Int_Tables_number 1
_cell_length_a 3.6984
_cell_length_b 5.3229
_cell_length_c 5.9882
_cell_angle_alpha 90.00
_cell_angle_beta 90.00
_cell_angle_gamma 90.00
loop_
_symmetry_equiv_pos_as_xyz
'x,y,z'
loop_
_atom_site_label
_atom_site_fract_x
_atom_site_fract_y
_atom_site_fract_z
Ho1 0.0000 0.0000 0.0000
Ho2 0.0000 0.5000 0.3782
Ho3 0.5000 0.0000 0.5206
Bi1 0.5000 0.5000 0.8665
```

=====

# Ho5InBi4
Computed powder X-ray diffraction pattern, Cu Kα X-rays. Input: a crystal structure in Alexandria, relaxed with GGA-PBE.
No peak broadening, texture or thermal motion is included.

Principal peaks in the range 10 to 80 degrees two-theta, low angle first:
2θ = 28.38°, d = 3.144 Å, I = 100; 2θ = 40.58°, d = 2.223 Å, I = 78; 2θ = 50.26°, d = 1.815 Å, I = 28; 2θ = 66.45°, d = 1.407 Å, I = 25; 2θ = 66.57°, d = 1.405 Å, I = 12; 2θ = 73.82°, d = 1.284 Å, I = 27

Structure:
```
data_Ho5InBi4
_symmetry_space_group_name_H-M 'P 1'
_symmetry_Int_Tables_number 1
_cell_length_a 7.7049
_cell_length_b 7.7049
_cell_length_c 7.7049
_cell_angle_alpha 99.56
_cell_angle_beta 99.56
_cell_angle_gamma 131.90
loop_
_symmetry_equiv_pos_as_xyz
'x,y,z'
loop_
_atom_site_label
_atom_site_fract_x
_atom_site_fract_y
_atom_site_fract_z
Ho1 0.0000 0.0000 0.0000
Ho2 0.1982 0.6021 0.8003
Ho3 0.3979 0.1982 0.5961
Ho4 0.6021 0.8018 0.4039
Ho5 0.8018 0.3979 0.1997
In1 0.5000 0.5000 0.0000
Bi1 0.0991 0.2998 0.3990
Bi2 0.2998 0.9009 0.2007
Bi3 0.7002 0.0991 0.7993
Bi4 0.9009 0.7002 0.6010
```

=====

# Ho5Bi5Ir
Computed powder X-ray diffraction pattern, Cu Kα X-rays. Input: a crystal structure in Alexandria, relaxed with GGA-PBE.
No peak broadening, texture or thermal motion is included.

Principal peaks in the range 10 to 80 degrees two-theta, low angle first:
2θ = 27.89°, d = 3.199 Å, I = 62; 2θ = 29.00°, d = 3.079 Å, I = 100; 2θ = 31.27°, d = 2.861 Å, I = 50; 2θ = 32.80°, d = 2.730 Å, I = 29; 2θ = 40.67°, d = 2.218 Å, I = 49; 2θ = 43.16°, d = 2.096 Å, I = 42

Structure:
```
data_Ho5Bi5Ir
_symmetry_space_group_name_H-M 'P 1'
_symmetry_Int_Tables_number 1
_cell_length_a 7.2839
_cell_length_b 7.2839
_cell_length_c 9.5862
_cell_angle_alpha 114.89
_cell_angle_beta 114.89
_cell_angle_gamma 50.01
loop_
_symmetry_equiv_pos_as_xyz
'x,y,z'
loop_
_atom_site_label
_atom_site_fract_x
_atom_site_fract_y
_atom_site_fract_z
Ho1 0.0000 0.0000 0.0000
Ho2 0.3237 0.3237 0.7054
Ho3 0.3486 0.3486 0.1207
Ho4 0.6514 0.6514 0.8793
Ho5 0.6763 0.6763 0.2946
Bi1 0.1148 0.1148 0.7774
Bi2 0.2156 0.2156 0.3361
Bi3 0.5000 0.5000 0.5000
Bi4 0.7844 0.7844 0.6639
Bi5 0.8852 0.8852 0.2226
Ir1 0.5000 0.5000 0.0000
```